[1]
Li4Ti3O8: simulated powder XRD pattern (a wavelength of 1.5418 Å), based on the GGA-PBE geometry in the Materials Project.

Atomic structure:
```
data_Li4Ti3O8
_chemical_formula_sum 'Li12 Ti9 O24'
_cell_length_a 5.9071
_cell_length_b 5.9071
_cell_length_c 14.3976
_cell_angle_alpha 90.00
_cell_angle_beta 90.00
_cell_angle_gamma 120.00
_space_group_name_H-M_alt 'R -3 m'
_space_group_IT_number 166
_space_group_name_Hall '-R 3 2"'
loop_
_atom_site_label
_atom_site_fract_x
_atom_site_fract_y
_atom_site_fract_z
Li1 0.0000 0.0000 0.0000
Li2 0.0000 0.5000 0.0000
Ti1 0.0000 0.5000 0.5000
O1 0.0000 0.0000 0.2459
O2 0.0272 0.5136 0.7589
```

Most intense lines, 2θ = 10–90°, sorted by position:
two_theta	I/Imax
18.46	100
21.31	16
30.26	6
30.36	7
35.66	32
43.40	77
47.55	6
57.50	9
62.94	20
63.17	19
66.21	10
79.54	9

=====

[2]
Li2Ti2O5: simulated powder XRD pattern (a wavelength of 1.5418 Å), based on the GGA-PBE geometry in the Materials Project.

Atomic structure:
```
data_Li2Ti2O5
_chemical_formula_sum 'Li8 Ti8 O20'
_cell_length_a 5.8821
_cell_length_b 5.3442
_cell_length_c 15.8470
_cell_angle_alpha 90.00
_cell_angle_beta 90.00
_cell_angle_gamma 90.00
_space_group_name_H-M_alt 'P b c n'
_space_group_IT_number 60
loop_
_space_group_symop_operation_xyz
'x,y,z'
'-x,-y,-z'
'-x+1/2,-y+1/2,z+1/2'
'x+1/2,y+1/2,-z+1/2'
'x+1/2,-y+1/2,-z'
'-x+1/2,y+1/2,z'
'-x,y,-z+1/2'
'x,-y,z+1/2'
loop_
_atom_site_label
_atom_site_fract_x
_atom_site_fract_y
_atom_site_fract_z
Li1 0.0985 0.1809 0.0495
Ti1 0.0924 0.3100 0.8569
O1 0.0000 0.2263 0.7500
O2 0.0876 0.1920 0.5629
O3 0.1259 0.3448 0.3726
```

Most intense lines, 2θ = 10–90°, sorted by position:
two_theta	I/Imax
18.79	62
22.45	65
23.18	100
27.14	16
30.39	14
31.97	16
33.54	32
36.68	21
37.32	20
38.89	17
58.65	12
62.03	17